Diffraction record for TbSc2Bi3. The powder diffraction line list is computed, not measured: it uses the PBE geometry in Alexandria and CuKα.
Lines closer than 0.1° are merged.

Top 12 peaks for 2θ = 5–70°, in order of rising 2θ:
25.09 deg, I 52, (1 3 0)
28.97 deg, I 51, (2 0 0)
29.09 deg, I 100, (0 3 2)
41.52 deg, I 97, (2 3 2)
41.68 deg, I 20, (0 0 4)
49.05 deg, I 9, (3 3 0)
51.42 deg, I 21, (2 6 0)
51.56 deg, I 20, (2 0 4)
60.29 deg, I 12, (0 6 4)
66.22 deg, I 10, (1 9 0)
68.08 deg, I 18, (4 3 2)
68.23 deg, I 26, (0 9 2)

Atomic structure:
Unit cell a=6.164 b=13.052 c=8.666 alpha=90.00 beta=90.00 gamma=90.00
Space group P2_1/c (No. 14)
Inequivalent atoms, fractional coordinates:
Tb 0.250 0.078 0.126
Sc 0.250 0.086 0.625
Sc 0.251 0.743 0.625
Bi 0.249 0.249 0.876
Bi 0.250 0.587 0.363
Bi 0.250 0.588 0.887